BaTb2NiO5: computed XRD peak list (Cu Kα, 1.54184 Å), based on a structure optimized by DFT (PBE+U).
No peak broadening, texture or thermal motion is included.

Crystal structure
```
data_BaTb2NiO5
_chemical_formula_sum 'Ba1 Tb2 Ni1 O5'
_cell_length_a 6.713
_cell_length_b 6.713
_cell_length_c 6.713
_cell_angle_alpha 147.08
_cell_angle_beta 128.53
_cell_angle_gamma 62.46
_space_group_name_H-M_alt 'P 1'
_space_group_IT_number 1
loop_
_space_group_symop_operation_xyz
'x,y,z'
loop_
_atom_site_label
_atom_site_fract_x
_atom_site_fract_y
_atom_site_fract_z
Ba1 0.000 0.000 0.000
Tb1 0.297 0.797 0.500
Tb2 0.703 0.203 0.500
Ni1 0.500 0.500 0.000
O1 0.110 0.351 0.760
O2 0.409 0.649 0.760
O3 0.500 0.000 0.500
O4 0.591 0.351 0.240
O5 0.890 0.649 0.240
```

Main lines, low angle first (10° ≤ 2θ ≤ 90°):
2theta	I (rel.)
27.89	324
30.68	309
31.16	109
32.14	1000
39.74	129
44.29	154
46.18	148
47.82	145
55.46	217
56.46	161